(1)
The following is a calculated XRD peak list of NdYHg6. It was derived from a PBE-relaxed structure, using copper Kα.

Crystal structure
```
NdYHg6
1.0
5.0455 0.0000 0.0000
0.0000 6.7164 0.0000
0.0000 0.0000 11.7031
Nd Y Hg
2 2 12
Direct
0.0000 0.0000 0.0000
0.0000 0.5000 0.5000
0.5000 0.0000 0.3379
0.5000 0.5000 0.8379
0.0000 0.0000 0.5036
0.0000 0.2477 0.2516
0.0000 0.2523 0.7516
0.0000 0.5000 0.0036
0.0000 0.7477 0.7516
0.0000 0.7523 0.2516
0.5000 0.0000 0.8299
0.5000 0.2458 0.5883
0.5000 0.2542 0.0883
0.5000 0.5000 0.3299
0.5000 0.7458 0.0883
0.5000 0.7542 0.5883
```

Most intense lines, 10 to 90 degrees two-theta, low angle first:
| Position (°2θ) | intensity |
| --- | --- |
| 30.70 | 19 |
| 35.47 | 38 |
| 35.59 | 100 |
| 47.66 | 17 |
| 54.40 | 15 |
| 63.89 | 23 |
| 66.71 | 16 |
| 66.90 | 20 |

***

(2)
The following is a calculated XRD peak list of Nd4YHg2. It was derived from a PBE-relaxed structure, using copper Kα.

Crystal structure
```
Nd4YHg2
1.0
2.8034 1.6186 8.7827
-2.8034 1.6186 8.7827
0.0000 -3.2371 8.7827
Nd Y Hg
4 1 2
Direct
0.1297 0.1297 0.1297
0.2676 0.2676 0.2676
0.7324 0.7324 0.7324
0.8703 0.8703 0.8703
0.5000 0.5000 0.5000
0.3866 0.3866 0.3866
0.6134 0.6134 0.6134
```

Most intense lines, 10 to 90 degrees two-theta, low angle first:
| Position (°2θ) | intensity |
| --- | --- |
| 18.58 | 17 |
| 22.75 | 20 |
| 31.92 | 100 |
| 32.86 | 64 |
| 44.76 | 24 |
| 46.47 | 24 |
| 56.89 | 19 |
| 57.48 | 26 |

***

(3)
The following is a calculated XRD peak list of NdY7Hg4. It was derived from a PBE-relaxed structure, using copper Kα.

Crystal structure
```
NdY7Hg4
1.0
7.3450 -2.8506 0.0000
7.3450 2.8506 0.0000
-5.2785 0.0000 8.3069
Nd Y Hg
1 7 4
Direct
0.0000 0.0000 0.0000
0.0662 0.0662 0.4050
0.2086 0.2086 0.8830
0.2708 0.2708 0.3208
0.5000 0.5000 0.0000
0.7292 0.7292 0.6792
0.7914 0.7914 0.1170
0.9338 0.9338 0.5950
0.3113 0.3113 0.6624
0.4523 0.4523 0.2703
0.5477 0.5477 0.7297
0.6887 0.6887 0.3376
```

Most intense lines, 10 to 90 degrees two-theta, low angle first:
| Position (°2θ) | intensity |
| --- | --- |
| 24.28 | 35 |
| 29.56 | 46 |
| 30.45 | 37 |
| 31.38 | 100 |
| 31.75 | 33 |
| 32.91 | 41 |
| 35.43 | 84 |
| 36.79 | 37 |